[1]
Computed PXRD pattern
Compound: RbH3
Radiation: Cu Kα X-rays
Structure: a DFT-relaxed cell (PBE, Alexandria)
Neutral-atom scattering factors, no anomalous dispersion.

Peak list (12 most intense, 10 to 90 degrees two-theta, by angle)
hkl 0 0 1, d 4.186, 2θ = 21.2°, I = 68.3
hkl 1 1 0, d 3.784, 2θ = 23.5°, I = 100.0
hkl 1 1 -1, d 3.524, 2θ = 25.3°, I = 94.1
hkl 2 0 -1, d 2.954, 2θ = 30.3°, I = 30.4
hkl 0 2 0, d 2.784, 2θ = 32.2°, I = 27.9
hkl 2 0 0, d 2.579, 2θ = 34.8°, I = 21.4
hkl 1 1 1, d 2.402, 2θ = 37.4°, I = 35.2
hkl 0 2 1, d 2.318, 2θ = 38.9°, I = 28.5
hkl 1 1 -2, d 2.207, 2θ = 40.9°, I = 26.3
hkl 2 2 -1, d 2.026, 2θ = 44.7°, I = 20.0
hkl 2 2 0, d 1.892, 2θ = 48.1°, I = 16.4
hkl 3 1 -1, d 1.862, 2θ = 48.9°, I = 14.6

Atomic structure:
abc: 5.960 5.567 4.836
angles: 90.00 120.05 90.00
Space group Cm (No. 8)
Asymmetric unit:
Rb 0.000 0.000 0.000 x2
H 0.036 0.500 0.436 x2
H 0.058 0.500 0.292 x2
H 0.382 0.000 0.753 x2

***

[2]
Computed PXRD pattern
Compound: Ti6Bi2O
Radiation: Cu Kα X-rays
Structure: a DFT-relaxed cell (PBE, Alexandria)
Neutral-atom scattering factors, no anomalous dispersion.

Peak list (12 most intense, 10 to 90 degrees two-theta, by angle)
hkl 2 0 0, d 5.231, 2θ = 16.9°, I = 16.0
hkl 2 0 1, d 3.551, 2θ = 25.1°, I = 68.6
hkl 3 1 0, d 3.020, 2θ = 29.6°, I = 32.8
hkl 2 2 0, d 2.616, 2θ = 34.3°, I = 22.0
hkl 0 0 2, d 2.418, 2θ = 37.2°, I = 24.2
hkl 4 0 1, d 2.301, 2θ = 39.2°, I = 100.0
hkl 3 1 2, d 1.888, 2θ = 48.2°, I = 15.0
hkl 4 2 -1, d 1.830, 2θ = 49.8°, I = 16.9
hkl 2 2 -2, d 1.776, 2θ = 51.5°, I = 15.8
hkl 6 2 0, d 1.510, 2θ = 61.4°, I = 17.8
hkl 4 0 -3, d 1.372, 2θ = 68.3°, I = 17.9
hkl 6 2 2, d 1.281, 2θ = 74.0°, I = 12.4

Atomic structure:
abc: 10.472 6.035 4.837
angles: 90.00 90.07 90.00
Space group C2/m (No. 12)
Asymmetric unit:
Ti 0.080 0.240 0.236 x8
Ti 0.160 0.000 0.764 x4
Bi 0.167 0.500 0.740 x4
O 0.000 0.000 0.500 x2

***

[3]
Computed PXRD pattern
Compound: SrNpCdO6
Radiation: Cu Kα X-rays
Structure: a DFT-relaxed cell (PBE, Alexandria)
Neutral-atom scattering factors, no anomalous dispersion.

Peak list (12 most intense, 10 to 90 degrees two-theta, by angle)
hkl 0 0 2, d 5.359, 2θ = 16.5°, I = 47.1
hkl 1 0 0, d 4.907, 2θ = 18.1°, I = 13.1
hkl 1 0 1, d 4.461, 2θ = 19.9°, I = 28.2
hkl 1 0 2, d 3.619, 2θ = 24.6°, I = 100.0
hkl 1 1 0, d 2.833, 2θ = 31.6°, I = 57.2
hkl 0 0 4, d 2.680, 2θ = 33.4°, I = 12.8
hkl 1 1 2, d 2.505, 2θ = 35.9°, I = 36.9
hkl 2 0 2, d 2.231, 2θ = 40.4°, I = 26.0
hkl 1 1 4, d 1.947, 2θ = 46.7°, I = 58.1
hkl 2 1 2, d 1.753, 2θ = 52.2°, I = 25.3
hkl 3 0 0, d 1.636, 2θ = 56.2°, I = 18.6
hkl 4 -2 4, d 1.252, 2θ = 76.0°, I = 13.1

Atomic structure:
abc: 5.6658 5.6658 10.7185
angles: 90.00 90.00 120.00
Space group P-31c (No. 163)
Asymmetric unit:
Sr 0.0000 0.0000 0.0000 x2
Np 0.3333 0.6667 0.2500 x2
Cd 0.3333 0.6667 0.7500 x2
O 0.0390 0.3798 0.1420 x12

***

[4]
Computed PXRD pattern
Compound: NaNd4Se5
Radiation: Cu Kα X-rays
Structure: a DFT-relaxed cell (PBE, Alexandria)
Neutral-atom scattering factors, no anomalous dispersion.

Peak list (12 most intense, 10 to 90 degrees two-theta, by angle)
hkl 1 0 1, d 5.045, 2θ = 17.6°, I = 9.4
hkl 2 1 1, d 3.453, 2θ = 25.8°, I = 16.6
hkl 1 3 0, d 2.996, 2θ = 29.8°, I = 100.0
hkl 0 0 2, d 2.980, 2θ = 30.0°, I = 48.6
hkl 4 2 0, d 2.118, 2θ = 42.7°, I = 37.0
hkl 1 3 2, d 2.113, 2θ = 42.8°, I = 74.0
hkl 4 2 2, d 1.727, 2θ = 53.0°, I = 39.0
hkl 2 6 0, d 1.498, 2θ = 61.9°, I = 12.2
hkl 7 1 0, d 1.339, 2θ = 70.3°, I = 33.2
hkl 1 3 4, d 1.334, 2θ = 70.6°, I = 16.6
hkl 7 1 2, d 1.222, 2θ = 78.2°, I = 24.5
hkl 4 2 4, d 1.219, 2θ = 78.5°, I = 12.3

Atomic structure:
abc: 9.474 9.474 5.961
angles: 90.00 90.00 90.00
Space group I4/m (No. 87)
Asymmetric unit:
Na 0.000 0.000 0.000 x2
Nd 0.102 0.299 0.500 x8
Se 0.000 0.000 0.500 x2
Se 0.097 0.298 0.000 x8